For Ba2PaTe4, the PBE geometry in Alexandria gives the theoretical powder XRD pattern in this record (λ = 1.5418 Å (Cu Kα)).

Cell and atoms:
```
Ba2PaTe4
1.0
8.7510 -2.3159 0.0000
8.7510 2.3159 0.0000
-3.3593 0.0000 6.9153
Ba Pa Te
2 1 4
Direct
0.1485 0.1485 0.1469
0.8515 0.8515 0.8531
0.0000 0.0000 0.5000
0.1908 0.1908 0.6920
0.4992 0.4992 0.7666
0.5008 0.5008 0.2334
0.8092 0.8092 0.3080
```

Peak list (10 most intense, 10° ≤ 2θ ≤ 80°, most intense first)
2θ 30.73, I 1000
2θ 30.77, I 712
2θ 32.03, I 608
2θ 41.91, I 592
2θ 25.65, I 551
2θ 34.17, I 364
2θ 38.89, I 360
2θ 23.14, I 349
2θ 11.24, I 322
2θ 47.28, I 258

---

For Ba4PaTe6, the PBE geometry in Alexandria gives the theoretical powder XRD pattern in this record (λ = 1.5418 Å (Cu Kα)).

Cell and atoms:
```
Ba4PaTe6
1.0
6.8038 3.9282 5.6171
-6.8038 3.9282 5.6171
0.0000 -7.8563 5.6171
Ba Pa Te
8 2 12
Direct
0.1300 0.7500 0.3700
0.2500 0.2500 0.2500
0.2500 0.6300 0.8700
0.3700 0.1300 0.7500
0.6300 0.8700 0.2500
0.7500 0.3700 0.1300
0.7500 0.7500 0.7500
0.8700 0.2500 0.6300
0.0000 0.0000 0.0000
0.5000 0.5000 0.5000
0.0615 0.9238 0.6952
0.0762 0.3048 0.9385
0.1952 0.4238 0.5615
0.3048 0.9385 0.0762
0.4238 0.5615 0.1952
0.4385 0.8048 0.5762
0.5615 0.1952 0.4238
0.5762 0.4385 0.8048
0.6952 0.0615 0.9238
0.8048 0.5762 0.4385
0.9238 0.6952 0.0615
0.9385 0.0762 0.3048
```

Peak list (10 most intense, 10° ≤ 2θ ≤ 80°, most intense first)
2θ 30.73, I 1000
2θ 29.18, I 932
2θ 27.80, I 640
2θ 12.96, I 611
2θ 39.61, I 368
2θ 26.00, I 366
2θ 22.63, I 359
2θ 59.09, I 323
2θ 34.89, I 322
2θ 29.31, I 275

---

For BaPa4Te8, the PBE geometry in Alexandria gives the theoretical powder XRD pattern in this record (λ = 1.5418 Å (Cu Kα)).

Cell and atoms:
```
BaPa4Te8
1.0
0.0000 6.4930 6.4930
6.4930 0.0000 6.4930
6.4930 6.4930 0.0000
Ba Pa Te
1 4 8
Direct
0.0000 0.0000 0.0000
0.1524 0.6159 0.6159
0.6159 0.1524 0.6159
0.6159 0.6159 0.1524
0.6159 0.6159 0.6159
0.3780 0.3780 0.3780
0.3780 0.3780 0.8661
0.3780 0.8661 0.3780
0.4322 0.8559 0.8559
0.8559 0.4322 0.8559
0.8559 0.8559 0.4322
0.8559 0.8559 0.8559
0.8661 0.3780 0.3780
```

Peak list (10 most intense, 10° ≤ 2θ ≤ 80°, most intense first)
2θ 27.47, I 1000
2θ 39.25, I 964
2θ 11.80, I 687
2θ 22.71, I 564
2θ 35.93, I 488
2θ 64.14, I 258
2θ 71.14, I 253
2θ 48.57, I 239
2θ 75.77, I 178
2θ 41.12, I 165

---

For Ba6Pb23, the PBE geometry in Alexandria gives the theoretical powder XRD pattern in this record (λ = 1.5418 Å (Cu Kα)).

Cell and atoms:
```
Ba6Pb23
1.0
0.0000 8.0645 8.0645
8.0645 0.0000 8.0645
8.0645 8.0645 0.0000
Ba Pb
6 23
Direct
0.2174 0.2174 0.7826
0.2174 0.7826 0.2174
0.2174 0.7826 0.7826
0.7826 0.2174 0.2174
0.7826 0.2174 0.7826
0.7826 0.7826 0.2174
0.0000 0.0000 0.5000
0.0000 0.5000 0.0000
0.0000 0.5000 0.5000
0.1363 0.6212 0.6212
0.1706 0.1706 0.1706
0.1706 0.1706 0.4882
0.1706 0.4882 0.1706
0.3788 0.3788 0.3788
0.3788 0.3788 0.8637
0.3788 0.8637 0.3788
0.4882 0.1706 0.1706
0.5000 0.0000 0.0000
0.5000 0.0000 0.5000
0.5000 0.5000 0.0000
0.5000 0.5000 0.5000
0.5118 0.8294 0.8294
0.6212 0.1363 0.6212
0.6212 0.6212 0.1363
0.6212 0.6212 0.6212
0.8294 0.5118 0.8294
0.8294 0.8294 0.5118
0.8294 0.8294 0.8294
0.8637 0.3788 0.3788
```

Peak list (10 most intense, 10° ≤ 2θ ≤ 80°, most intense first)
2θ 31.37, I 1000
2θ 28.76, I 346
2θ 32.85, I 305
2θ 55.85, I 261
2θ 10.97, I 181
2θ 56.79, I 173
2θ 36.97, I 150
2θ 36.53, I 134
2θ 35.19, I 128
2θ 65.47, I 127

---

For Ba3Pb5, the PBE geometry in Alexandria gives the theoretical powder XRD pattern in this record (λ = 1.5418 Å (Cu Kα)).

Cell and atoms:
```
Ba3Pb5
1.0
0.0000 10.7351 8.2800
3.5740 0.0000 8.2800
3.5740 10.7351 0.0000
Ba Pb
6 10
Direct
0.0000 0.0000 0.0000
0.2500 0.2500 0.2500
0.3159 0.6751 0.3290
0.5701 0.9210 0.5749
0.6751 0.3159 0.6799
0.9210 0.5701 0.9341
0.0281 0.7894 0.2882
0.2210 0.4636 0.9437
0.3063 0.8783 0.0290
0.3558 0.9618 0.4606
0.4636 0.2210 0.3717
0.5351 0.5351 0.4649
0.7851 0.7851 0.7149
0.7894 0.0281 0.8942
0.8783 0.3063 0.7864
0.9618 0.3558 0.2219
```

Peak list (10 most intense, 10° ≤ 2θ ≤ 80°, most intense first)
2θ 27.17, I 1000
2θ 32.30, I 475
2θ 35.50, I 432
2θ 18.34, I 277
2θ 42.16, I 173
2θ 58.81, I 161
2θ 61.73, I 135
2θ 30.03, I 131
2θ 51.07, I 124
2θ 48.73, I 115

---

For BaPb4, the PBE geometry in Alexandria gives the theoretical powder XRD pattern in this record (λ = 1.5418 Å (Cu Kα)).

Cell and atoms:
```
BaPb4
1.0
0.0000 3.6478 7.0883
3.6410 0.0000 7.0883
3.6410 3.6478 0.0000
Ba Pb
1 4
Direct
0.0000 0.0000 0.0000
0.2500 0.2500 0.2500
0.3924 0.3924 0.6076
0.6076 0.6076 0.3924
0.7500 0.7500 0.7500
```

Peak list (10 most intense, 10° ≤ 2θ ≤ 80°, most intense first)
2θ 27.52, I 1000
2θ 34.81, I 624
2θ 35.33, I 561
2θ 36.16, I 350
2θ 25.57, I 297
2θ 51.07, I 265
2θ 58.07, I 257
2θ 18.32, I 223
2θ 62.75, I 222
2θ 63.74, I 160